Theoretical PXRD pattern of BaCu for Cu Kα (λ = 1.5418 Å), from a structure optimized by DFT (GGA-PBE).

Most intense lines, 15° ≤ 2θ ≤ 90°, low angle first:
2θ (°)	I/Imax
23.14	48.5
27.06	56.5
29.17	100.0
34.23	60.4
37.08	20.9
40.14	74.0
43.81	19.0
50.39	21.3
53.76	16.2
60.91	41.8
66.29	18.5
69.17	15.1

```
BaCu
1.0
2.246 1.297 8.266
-2.246 1.297 8.266
0.000 -2.594 8.266
Ba Cu
2 2
direct
0.084 0.084 0.084
0.916 0.916 0.916
0.333 0.333 0.333
0.667 0.667 0.667
```